Structure and simulated powder XRD pattern of Sm2Er3Os2 (DFT lattice parameters and positions (PBE); copper Kα).
Peak positions follow from Bragg's law for the DFT cell and can differ from measured ones.

Main lines, in order of rising 2θ (2θ from 10° to 90°):
2theta	I (rel.)
15.64	28
30.98	29
31.92	100
33.43	82
34.60	54
35.74	54
37.06	18
39.73	41
45.84	35
50.14	17

Cell and atoms:
```
Sm2Er3Os2
1.0
11.936 0.000 0.000
0.000 3.959 0.000
-3.418 0.000 7.725
Sm Er Os
4 6 4
Cartesian
0.888 0.000 2.366
1.662 1.979 5.359
6.856 1.979 2.366
7.630 0.000 5.359
-1.709 1.979 3.862
-1.667 1.979 7.167
4.217 0.000 0.558
4.259 0.000 3.862
4.301 0.000 7.167
10.185 1.979 0.558
-0.371 0.000 5.559
2.922 1.979 2.165
5.597 1.979 5.559
8.890 0.000 2.165
```



Structure and simulated powder XRD pattern of Li2H4Rh (DFT lattice parameters and positions (PBE); copper Kα).
Peak positions follow from Bragg's law for the DFT cell and can differ from measured ones.

Main lines, in order of rising 2θ (2θ from 10° to 90°):
2theta	I (rel.)
21.45	100
21.63	98
22.18	97
33.09	66
36.73	62
37.37	30
38.70	28
42.63	29
43.42	32
45.81	34

Cell and atoms:
```
Li2H4Rh
1.0
9.312 0.000 0.000
0.000 2.868 0.000
-2.207 0.000 4.143
Li H Rh
4 8 2
Cartesian
1.239 0.000 0.672
1.209 1.434 3.471
5.895 1.434 0.672
5.865 0.000 3.471
-0.928 1.434 3.718
-0.026 0.000 2.110
2.474 1.434 2.033
3.376 0.000 0.425
3.728 0.000 3.718
4.630 1.434 2.110
7.130 0.000 2.033
8.032 1.434 0.425
-1.104 1.434 2.072
3.552 0.000 2.072
```



Structure and simulated powder XRD pattern of Ca3AgSn (DFT lattice parameters and positions (PBE); copper Kα).
Peak positions follow from Bragg's law for the DFT cell and can differ from measured ones.

Main lines, in order of rising 2θ (2θ from 10° to 90°):
2theta	I (rel.)
15.31	24
19.09	56
21.79	35
24.31	20
31.04	100
31.12	53
34.58	46
35.06	23
38.74	27
44.41	22

Cell and atoms:
```
Ca3AgSn
1.0
9.392 0.000 0.000
0.000 8.216 0.000
-4.593 0.000 8.084
Ca Ag Sn
12 4 4
Cartesian
-0.931 0.010 1.667
-3.228 4.097 5.708
-0.329 1.089 5.194
1.968 3.019 1.153
-0.660 6.146 7.634
1.637 6.177 3.592
3.162 2.038 4.491
5.459 2.070 0.450
2.831 5.197 6.931
5.127 7.127 2.889
8.026 4.118 2.375
5.730 8.205 6.417
2.492 0.052 1.380
0.195 4.056 5.422
4.603 4.159 2.662
2.306 8.164 6.704
0.805 5.805 0.455
-1.492 6.519 4.497
6.290 1.697 3.587
3.993 2.411 7.629
```



Structure and simulated powder XRD pattern of Y6HoEr (DFT lattice parameters and positions (PBE); copper Kα).
Peak positions follow from Bragg's law for the DFT cell and can differ from measured ones.

Main lines, in order of rising 2θ (2θ from 10° to 90°):
2theta	I (rel.)
19.74	8
30.79	100
35.70	50
51.39	35
61.11	41
64.14	12
75.67	4
83.85	17
86.51	9
86.60	6

Cell and atoms:
```
Y6HoEr
1.0
11.255 0.000 0.000
0.000 5.028 0.000
-4.494 0.000 8.992
Y Ho Er
12 2 2
Cartesian
-1.124 0.000 2.249
7.885 0.000 6.743
2.252 0.000 1.126
0.005 0.000 5.618
1.129 2.514 3.374
-1.119 2.514 7.867
4.504 2.514 2.249
2.258 2.514 6.743
6.757 0.000 3.374
4.509 0.000 7.867
7.880 2.514 1.126
5.632 2.514 5.618
0.000 2.514 0.000
5.628 0.000 0.000
-2.247 2.514 4.496
3.381 0.000 4.496
```



Structure and simulated powder XRD pattern of TaAgSe (DFT lattice parameters and positions (PBE); copper Kα).
Peak positions follow from Bragg's law for the DFT cell and can differ from measured ones.

Main lines, in order of rising 2θ (2θ from 10° to 90°):
2theta	I (rel.)
13.58	43
31.90	27
32.50	23
34.81	37
38.05	24
38.18	100
41.56	26
42.52	18
57.13	29
73.54	17

Cell and atoms:
```
TaAgSe
1.0
13.038 0.000 0.000
0.000 3.234 0.000
0.000 0.000 5.637
Ta Ag Se
4 4 4
Cartesian
0.000 0.000 0.000
0.000 1.617 2.818
6.519 0.000 1.105
6.519 1.617 3.923
4.303 0.000 4.809
4.303 1.617 1.991
8.735 0.000 4.809
8.735 1.617 1.991
1.774 0.000 1.866
1.774 1.617 4.685
11.265 0.000 1.866
11.265 1.617 4.685
```